Diffraction record for AlZnNi. The powder diffractogram is calculated, not measured: it uses a structure optimized by DFT (GGA-PBE) and Cu Kα (λ = 1.5418 Å).
Kinematic intensities with the Lorentz-polarization factor, no thermal factor.

Crystal structure
```
AlZnNi
1.0
-1.519 1.524 4.203
1.519 -1.524 4.203
1.519 1.524 -4.203
Al Zn Ni
1 1 1
direct
0.000 0.000 0.000
0.687 0.687 0.000
0.353 0.353 0.000
```

Main lines, low angle first (2θ = 15–90°):
| 2θ/deg | intensity |
| --- | --- |
| 21.1 | 12 |
| 31.2 | 9 |
| 31.3 | 9 |
| 42.0 | 58 |
| 43.9 | 100 |
| 60.8 | 9 |
| 61.0 | 9 |
| 78.0 | 17 |
| 78.1 | 17 |
| 82.1 | 14 |


Diffraction record for ZrAlNi4. The powder diffractogram is calculated, not measured: it uses a structure optimized by DFT (GGA-PBE) and Cu Kα (λ = 1.5418 Å).
Kinematic intensities with the Lorentz-polarization factor, no thermal factor.

Crystal structure
```
ZrAlNi4
1.0
4.072 0.000 0.000
-2.036 3.526 0.000
0.000 0.000 5.631
Zr Al Ni
1 1 4
direct
0.000 0.000 0.000
0.000 0.000 0.500
0.333 0.667 0.277
0.333 0.667 0.723
0.667 0.333 0.277
0.667 0.333 0.723
```

Main lines, low angle first (2θ = 15–90°):
| 2θ/deg | intensity |
| --- | --- |
| 29.9 | 32 |
| 31.8 | 9 |
| 41.0 | 100 |
| 44.5 | 96 |
| 55.7 | 10 |
| 62.1 | 28 |
| 67.9 | 13 |
| 79.6 | 26 |
| 82.0 | 15 |
| 83.5 | 20 |


Diffraction record for Zr2AlNi4. The powder diffractogram is calculated, not measured: it uses a structure optimized by DFT (GGA-PBE) and Cu Kα (λ = 1.5418 Å).
Kinematic intensities with the Lorentz-polarization factor, no thermal factor.

Crystal structure
```
Zr2AlNi4
1.0
4.041 0.000 0.000
0.000 7.119 0.000
0.000 0.000 7.160
Zr Al Ni
4 2 8
direct
0.250 0.004 0.192
0.250 0.496 0.192
0.750 0.504 0.808
0.750 0.996 0.808
0.250 0.750 0.553
0.750 0.250 0.447
0.250 0.083 0.576
0.250 0.250 0.893
0.250 0.417 0.576
0.250 0.750 0.899
0.750 0.250 0.101
0.750 0.583 0.424
0.750 0.750 0.107
0.750 0.917 0.424
```

Main lines, low angle first (2θ = 15–90°):
| 2θ/deg | intensity |
| --- | --- |
| 33.4 | 17 |
| 35.6 | 23 |
| 35.9 | 100 |
| 37.7 | 25 |
| 42.2 | 95 |
| 44.1 | 66 |
| 44.9 | 54 |
| 46.1 | 16 |
| 51.4 | 18 |
| 88.0 | 16 |